Diffraction record for Th6P2PtSe3. The X-ray powder pattern is calculated, not measured: it uses a GGA-PBE-relaxed structure and Cu Kα, 1.54184 Å.
Peak positions follow from Bragg's law for the DFT cell and can differ from measured ones.

a b c (Å): 18.4536 4.1323 8.5347
angles (deg): 90.00 103.97 90.00
Space group C2/m (No. 12)
Unique sites:
1 Th 0.0058 0.0000 0.2388 x4
2 Th 0.1662 0.5000 0.0977 x4
3 Th 0.1711 0.5000 0.5720 x4
4 P 0.1678 0.0000 0.3349 x4
5 Pt 0.0000 0.5000 0.0000 x2
6 Se 0.0000 0.5000 0.5000 x2
7 Se 0.1650 0.0000 0.8324 x4

Peak list (10 most intense, 15° ≤ 2θ ≤ 90°, low angle first)
d = 3.489 Å, I 15, (4 0 -2); d = 3.454 Å, I 15, (2 0 2); d = 3.398 Å, I 30, (3 1 0); d = 2.985 Å, I 51, (6 0 0); d = 2.968 Å, I 100, (1 1 -2); d = 2.134 Å, I 19, (2 0 -4); d = 2.112 Å, I 37, (7 1 -2); d = 2.097 Å, I 39, (5 1 2); d = 2.066 Å, I 19, (0 2 0); d = 1.699 Å, I 20, (6 2 0)